Theoretical X-ray diffraction stick pattern
Compound: K4CoMo4O15
Radiation: Cu Kα X-rays
Structure: the PBE+U geometry in Alexandria
Neutral-atom scattering factors, no anomalous dispersion.

The 10 most intense peaks (2θ = 10–90°), by angle:
| d_spacing | Rel. int. | index |
| --- | --- | --- |
| 8.335 | 37 | 0 0 1 |
| 4.434 | 59 | 2 -1 1 |
| 3.261 | 100 | 1 1 2 |
| 3.068 | 21 | 0 2 2 |
| 3.023 | 92 | 3 0 0 |
| 2.842 | 23 | 0 3 1 |
| 2.647 | 25 | 3 -1 2 |
| 1.925 | 20 | 5 -1 1 |
| 1.788 | 23 | 1 4 2 |
| 1.612 | 24 | 1 4 3 |

a b c (Å): 10.471 10.471 8.335
angles (deg): 90.00 90.00 120.00
Positions (direct):
1 K 0.000 0.000 0.000
2 K 0.000 0.000 0.500
3 K 0.094 0.694 0.141
4 K 0.306 0.400 0.141
5 K 0.400 0.094 0.859
6 K 0.600 0.906 0.141
7 K 0.694 0.600 0.859
8 K 0.906 0.306 0.859
9 Co 0.333 0.667 0.473
10 Co 0.667 0.333 0.527
11 Mo 0.013 0.671 0.634
12 Mo 0.329 0.341 0.634
13 Mo 0.333 0.667 0.850
14 Mo 0.341 0.013 0.366
15 Mo 0.659 0.987 0.634
16 Mo 0.667 0.333 0.150
17 Mo 0.671 0.659 0.366
18 Mo 0.987 0.329 0.366
19 O 0.003 0.784 0.788
20 O 0.009 0.739 0.442
21 O 0.150 0.511 0.346
22 O 0.176 0.520 0.944
23 O 0.185 0.663 0.653
24 O 0.216 0.219 0.788
25 O 0.219 0.003 0.212
26 O 0.261 0.271 0.442
27 O 0.271 0.009 0.558
28 O 0.337 0.522 0.653
29 O 0.344 0.824 0.944
30 O 0.361 0.850 0.346
31 O 0.478 0.815 0.653
32 O 0.480 0.656 0.944
33 O 0.489 0.639 0.346
34 O 0.511 0.361 0.654
35 O 0.520 0.344 0.056
36 O 0.522 0.185 0.347
37 O 0.639 0.150 0.654
38 O 0.656 0.176 0.056
39 O 0.663 0.478 0.347
40 O 0.729 0.991 0.442
41 O 0.739 0.729 0.558
42 O 0.781 0.997 0.788
43 O 0.784 0.781 0.212
44 O 0.815 0.337 0.347
45 O 0.824 0.480 0.056
46 O 0.850 0.489 0.654
47 O 0.991 0.261 0.558
48 O 0.997 0.216 0.212